Calculated PXRD pattern
Compound: Na2HoHg3
Radiation: CuKα
Structure: DFT lattice parameters and positions (GGA-PBE)
No peak broadening, texture or thermal motion is included.

```
Na2HoHg3
1.0
2.5959 -7.7883 0.0000
2.5959 7.7883 0.0000
0.0000 0.0000 7.5529
Na Ho Hg
4 2 6
Cartesian
0.0000 0.0000 0.0000
0.0000 0.0000 3.7764
2.5959 2.5798 0.0000
2.5959 -2.5798 0.0000
2.5959 2.5947 3.7764
2.5959 -2.5947 3.7764
2.5959 5.1577 1.9842
2.5959 5.1577 5.5686
2.5959 0.0000 1.9533
2.5959 0.0000 5.5996
2.5959 -5.1577 1.9842
2.5959 -5.1577 5.5686
```

Main lines, in order of rising 2θ (2θ = 15–90°):
- 2θ = 23.6°, d 3.776, I = 14
- 2θ = 24.2°, d 3.671, I = 27
- 2θ = 34.1°, d 2.632, I = 100
- 2θ = 34.6°, d 2.596, I = 49
- 2θ = 42.2°, d 2.139, I = 13
- 2θ = 49.7°, d 1.836, I = 18
- 2θ = 60.6°, d 1.527, I = 19
- 2θ = 61.6°, d 1.506, I = 37

=====

Calculated PXRD pattern
Compound: NaHoHg6
Radiation: CuKα
Structure: DFT lattice parameters and positions (GGA-PBE)
No peak broadening, texture or thermal motion is included.

```
NaHoHg6
1.0
6.5761 0.0000 0.0000
-3.2881 5.6951 0.0000
0.0000 0.0000 5.1665
Na Ho Hg
1 1 6
Cartesian
0.0000 0.0000 0.0000
0.0000 3.7967 2.5832
1.6492 0.9521 2.5832
3.2881 0.0064 0.0000
1.6496 2.8443 0.0000
4.9270 0.9521 2.5832
3.2881 3.7908 2.5832
4.9266 2.8443 0.0000
```

Main lines, in order of rising 2θ (2θ = 15–90°):
- 2θ = 31.4°, d 2.848, I = 24
- 2θ = 34.7°, d 2.583, I = 24
- 2θ = 36.0°, d 2.494, I = 100
- 2θ = 47.5°, d 1.913, I = 16
- 2θ = 55.9°, d 1.644, I = 19
- 2θ = 63.1°, d 1.474, I = 20
- 2θ = 67.5°, d 1.387, I = 22
- 2θ = 68.3°, d 1.373, I = 16

=====

Calculated PXRD pattern
Compound: NaHoTlHg
Radiation: CuKα
Structure: DFT lattice parameters and positions (GGA-PBE)
No peak broadening, texture or thermal motion is included.

```
NaHoTlHg
1.0
3.7396 0.0000 0.0000
0.0000 3.7396 0.0000
0.0000 0.0000 7.5365
Na Ho Tl Hg
1 1 1 1
Cartesian
0.0000 0.0000 0.0000
0.0000 0.0000 3.9109
1.8698 1.8698 1.9462
1.8698 1.8698 5.6413
```

Main lines, in order of rising 2θ (2θ = 15–90°):
- 2θ = 23.8°, d 3.740, I = 16
- 2θ = 33.8°, d 2.654, I = 100
- 2θ = 33.9°, d 2.644, I = 50
- 2θ = 48.7°, d 1.870, I = 18
- 2θ = 60.3°, d 1.534, I = 19
- 2θ = 60.6°, d 1.529, I = 38
- 2θ = 71.0°, d 1.327, I = 11
- 2θ = 81.3°, d 1.183, I = 17

=====

Calculated PXRD pattern
Compound: NdHo8Hg6
Radiation: CuKα
Structure: DFT lattice parameters and positions (GGA-PBE)
No peak broadening, texture or thermal motion is included.

```
NdHo8Hg6
1.0
4.4641 2.5773 6.3329
-4.4641 2.5773 6.3329
0.0000 -5.1547 6.3329
Nd Ho Hg
1 8 6
Cartesian
0.0000 0.0000 0.0000
-1.4388 -2.6076 8.4815
-2.9777 -0.0577 10.5172
0.0000 0.0000 6.2955
-1.5388 2.5499 8.4815
1.5388 -2.5499 10.5172
0.0000 0.0000 12.7032
2.9777 0.0577 8.4816
1.4388 2.6076 10.5172
-2.9323 -0.0746 7.4618
-1.4015 -2.5767 11.5369
1.5308 -2.5021 7.4618
-1.5308 2.5021 11.5369
1.4015 2.5767 7.4618
2.9323 0.0746 11.5369
```

Main lines, in order of rising 2θ (2θ = 15–90°):
- 2θ = 19.9°, d 4.464, I = 11
- 2θ = 24.4°, d 3.649, I = 9
- 2θ = 34.8°, d 2.580, I = 100
- 2θ = 50.0°, d 1.824, I = 18
- 2θ = 62.2°, d 1.492, I = 10
- 2θ = 62.4°, d 1.489, I = 27
- 2θ = 83.8°, d 1.155, I = 8
- 2θ = 83.9°, d 1.153, I = 8

=====

Calculated PXRD pattern
Compound: NdHo5Hg2
Radiation: CuKα
Structure: DFT lattice parameters and positions (GGA-PBE)
No peak broadening, texture or thermal motion is included.

```
NdHo5Hg2
1.0
-1.8652 5.0734 6.1947
1.8652 -5.0734 6.1947
1.8652 5.0734 -6.1947
Nd Ho Hg
1 5 2
Cartesian
0.0000 0.0000 0.0000
1.8652 2.8017 -1.6975
1.8652 2.8017 1.6975
0.0000 5.0734 0.0000
0.0000 2.2717 4.4973
0.0000 2.2717 7.8922
1.8652 0.0000 2.9749
0.0000 5.0734 3.2198
```

Main lines, in order of rising 2θ (2θ = 15–90°):
- 2θ = 30.6°, d 2.921, I = 74
- 2θ = 32.3°, d 2.768, I = 60
- 2θ = 33.9°, d 2.644, I = 100
- 2θ = 35.4°, d 2.537, I = 41
- 2θ = 35.8°, d 2.506, I = 28
- 2θ = 38.8°, d 2.321, I = 37
- 2θ = 48.7°, d 1.870, I = 30
- 2θ = 60.8°, d 1.524, I = 64

=====

Calculated PXRD pattern
Compound: NdHo4Hg4
Radiation: CuKα
Structure: DFT lattice parameters and positions (GGA-PBE)
No peak broadening, texture or thermal motion is included.

```
NdHo4Hg4
1.0
9.5824 0.0000 0.0000
0.0000 9.5824 0.0000
0.0000 0.0000 5.5003
Nd Ho Hg
2 8 8
Cartesian
2.3956 2.3956 1.3751
7.1868 7.1868 4.1252
0.9714 8.0455 3.6348
1.5369 5.7626 0.8846
3.2543 8.6110 0.8846
3.8198 6.3281 3.6348
5.7626 3.2543 1.8655
6.3281 0.9714 4.6157
8.0455 3.8198 4.6157
8.6110 1.5369 1.8655
0.3924 1.3808 4.6171
1.3808 4.3988 3.6334
3.4104 0.3924 3.6334
4.3988 3.4104 4.6171
5.1836 6.1720 0.8832
6.1720 9.1900 1.8669
8.2015 5.1836 1.8669
9.1900 8.2015 0.8832
```

Main lines, in order of rising 2θ (2θ = 15–90°):
- 2θ = 29.5°, d 3.030, I = 84
- 2θ = 31.0°, d 2.885, I = 33
- 2θ = 32.4°, d 2.762, I = 65
- 2θ = 33.9°, d 2.643, I = 39
- 2θ = 37.6°, d 2.393, I = 100
- 2θ = 38.9°, d 2.315, I = 48
- 2θ = 58.7°, d 1.573, I = 32
- 2θ = 61.2°, d 1.515, I = 30

=====

Calculated PXRD pattern
Compound: Nd3Ho3Hg2
Radiation: CuKα
Structure: DFT lattice parameters and positions (GGA-PBE)
No peak broadening, texture or thermal motion is included.

```
Nd3Ho3Hg2
1.0
2.6047 -5.9147 0.0000
2.6047 5.9147 0.0000
0.0000 0.0000 15.9873
Nd Ho Hg
6 6 4
Cartesian
2.6047 5.4457 9.7206
2.6047 5.4457 14.2604
2.6047 2.5430 11.9905
2.6047 -2.5430 3.9968
2.6047 -5.4457 1.7269
2.6047 -5.4457 6.2668
2.6047 1.6764 8.5483
2.6047 1.6764 15.4327
2.6047 0.8437 3.9968
2.6047 -0.8437 11.9905
2.6047 -1.6764 0.5547
2.6047 -1.6764 7.4390
2.6047 3.1637 1.9956
2.6047 3.1637 5.9981
2.6047 -3.1637 9.9892
2.6047 -3.1637 13.9918
```

Main lines, in order of rising 2θ (2θ = 15–90°):
- 2θ = 28.4°, d 3.144, I = 21
- 2θ = 29.2°, d 3.063, I = 79
- 2θ = 30.7°, d 2.908, I = 30
- 2θ = 33.1°, d 2.708, I = 100
- 2θ = 33.8°, d 2.656, I = 45
- 2θ = 34.4°, d 2.605, I = 60
- 2θ = 37.8°, d 2.377, I = 22
- 2θ = 60.8°, d 1.523, I = 21

=====

Calculated PXRD pattern
Compound: Nd3Ho2Hg6
Radiation: CuKα
Structure: DFT lattice parameters and positions (GGA-PBE)
No peak broadening, texture or thermal motion is included.

```
Nd3Ho2Hg6
1.0
-2.2348 2.2348 16.5076
2.2348 -2.2348 16.5076
2.2348 2.2348 -16.5076
Nd Ho Hg
3 2 6
Cartesian
0.0000 0.0000 0.0000
0.0000 0.0000 6.0086
0.0000 0.0000 27.0066
0.0000 0.0000 12.2314
0.0000 0.0000 20.7837
2.2348 0.0000 2.2733
0.0000 0.0000 9.2239
2.2348 0.0000 14.2343
0.0000 2.2348 2.2733
0.0000 0.0000 23.7912
0.0000 2.2348 14.2343
```

Main lines, in order of rising 2θ (2θ = 15–90°):
- 2θ = 21.5°, d 4.135, I = 40
- 2θ = 28.8°, d 3.104, I = 100
- 2θ = 31.6°, d 2.836, I = 32
- 2θ = 32.7°, d 2.741, I = 71
- 2θ = 35.8°, d 2.509, I = 60
- 2θ = 36.0°, d 2.492, I = 71
- 2θ = 40.4°, d 2.235, I = 86
- 2θ = 55.2°, d 1.664, I = 42

=====

Calculated PXRD pattern
Compound: Nd6HoHg5
Radiation: CuKα
Structure: DFT lattice parameters and positions (GGA-PBE)
No peak broadening, texture or thermal motion is included.

```
Nd6HoHg5
1.0
-2.6841 3.9328 8.2051
2.6841 -3.9328 8.2051
2.6841 3.9328 -8.2051
Nd Ho Hg
6 1 5
Cartesian
2.6841 1.9251 -2.8219
0.0000 1.7953 0.0000
2.6841 1.9251 2.8219
0.0000 2.0076 5.3832
0.0000 6.0702 0.0000
0.0000 2.0076 11.0270
0.0000 0.0000 8.2051
2.6841 0.0000 0.0000
0.0000 0.0000 2.7836
2.6841 0.0000 5.7709
0.0000 3.9328 2.4342
0.0000 0.0000 13.6266
```

Main lines, in order of rising 2θ (2θ = 15–90°):
- 2θ = 32.6°, d 2.744, I = 100
- 2θ = 32.7°, d 2.735, I = 23
- 2θ = 33.4°, d 2.684, I = 24
- 2θ = 47.5°, d 1.916, I = 17
- 2θ = 58.2°, d 1.586, I = 10
- 2θ = 58.4°, d 1.581, I = 16
- 2θ = 59.2°, d 1.561, I = 18
- 2θ = 68.4°, d 1.372, I = 11

=====

Calculated PXRD pattern
Compound: HoNi5Hg
Radiation: CuKα
Structure: DFT lattice parameters and positions (GGA-PBE)
No peak broadening, texture or thermal motion is included.

```
HoNi5Hg
1.0
8.0850 0.0000 0.0000
0.0000 4.8330 0.0000
0.0000 0.0000 10.3238
Ho Ni Hg
4 20 4
Cartesian
2.0050 1.2083 0.6363
2.0375 3.6248 5.7982
6.0475 1.2083 4.5256
6.0800 3.6248 9.6874
0.3979 3.6248 1.1410
0.5553 4.8325 3.2388
0.5553 2.4170 3.2388
0.6474 1.2083 5.3362
1.5176 1.2083 7.6261
2.5249 3.6248 2.4642
3.3951 3.6248 0.1743
3.4871 0.0005 8.4007
3.4871 2.4160 8.4007
3.6446 1.2083 6.3029
4.4404 3.6248 4.0209
4.5978 4.8325 1.9231
4.5978 2.4170 1.9231
4.6899 1.2083 10.1495
5.5601 1.2083 7.8596
6.5673 3.6248 2.6977
7.4376 3.6248 4.9876
7.5296 0.0005 7.0850
7.5296 2.4160 7.0850
7.6871 1.2083 9.1828
1.0929 3.6248 8.9357
2.9496 1.2083 3.7738
5.1353 3.6248 6.5500
6.9921 1.2083 1.3881
```

Main lines, in order of rising 2θ (2θ = 15–90°):
- 2θ = 31.9°, d 2.803, I = 51
- 2θ = 33.8°, d 2.649, I = 46
- 2θ = 37.2°, d 2.417, I = 50
- 2θ = 39.1°, d 2.304, I = 66
- 2θ = 39.3°, d 2.295, I = 100
- 2θ = 44.6°, d 2.034, I = 46
- 2θ = 45.7°, d 1.984, I = 81
- 2θ = 47.3°, d 1.921, I = 48

=====

Calculated PXRD pattern
Compound: Ho4Ni2Hg
Radiation: CuKα
Structure: DFT lattice parameters and positions (GGA-PBE)
No peak broadening, texture or thermal motion is included.

```
Ho4Ni2Hg
1.0
6.7500 0.0000 0.0000
-1.6333 6.5992 0.0000
-2.5507 -3.3027 7.3345
Ho Ni Hg
8 4 2
Cartesian
0.0000 0.0000 0.0000
-0.8239 3.2980 0.1812
-2.4406 2.9782 4.3271
0.7174 -0.4792 3.3209
-0.1987 1.2134 6.3361
0.9346 2.9761 3.1791
3.1779 1.2049 1.1786
4.0933 -0.4782 4.1994
-1.0937 1.2861 2.4399
-0.9962 -1.3786 6.2099
0.7358 5.2168 1.3073
2.2818 1.2877 5.0737
1.6897 -2.0944 5.7012
3.4243 4.5144 1.8118
```

Main lines, in order of rising 2θ (2θ = 15–90°):
- 2θ = 27.9°, d 3.202, I = 39
- 2θ = 32.9°, d 2.724, I = 54
- 2θ = 33.0°, d 2.714, I = 76
- 2θ = 33.5°, d 2.678, I = 100
- 2θ = 33.8°, d 2.654, I = 68
- 2θ = 33.9°, d 2.644, I = 59
- 2θ = 36.6°, d 2.453, I = 86
- 2θ = 42.2°, d 2.143, I = 40

=====

Calculated PXRD pattern
Compound: Ho12Ni6Hg
Radiation: CuKα
Structure: DFT lattice parameters and positions (GGA-PBE)
No peak broadening, texture or thermal motion is included.

```
Ho12Ni6Hg
1.0
-4.8091 4.8091 4.8091
4.8091 -4.8091 4.8091
4.8091 4.8091 -4.8091
Ho Ni Hg
12 6 1
Cartesian
4.8091 3.0147 -1.9080
2.9010 0.0000 1.7944
6.7171 0.0000 1.7944
1.7944 2.9010 0.0000
3.0147 -1.9080 4.8091
0.0000 1.7944 2.9010
4.8091 3.0147 1.9080
1.7944 6.7171 0.0000
3.0147 1.9080 4.8091
-1.9080 4.8091 3.0147
1.9080 4.8091 3.0147
0.0000 1.7944 6.7171
4.8091 1.1943 0.0000
4.8091 0.0000 3.6148
3.6148 4.8091 0.0000
1.1943 0.0000 4.8091
0.0000 4.8091 1.1943
0.0000 3.6148 4.8091
0.0000 0.0000 0.0000
```

Main lines, in order of rising 2θ (2θ = 15–90°):
- 2θ = 29.4°, d 3.042, I = 42
- 2θ = 32.2°, d 2.777, I = 42
- 2θ = 34.9°, d 2.571, I = 100
- 2θ = 37.4°, d 2.405, I = 17
- 2θ = 48.2°, d 1.886, I = 20
- 2θ = 55.7°, d 1.649, I = 33
- 2θ = 59.2°, d 1.560, I = 36
- 2θ = 69.1°, d 1.360, I = 19

=====

Please write out number 5 again, unchanged.
Calculated PXRD pattern
Compound: NdHo5Hg2
Radiation: CuKα
Structure: DFT lattice parameters and positions (GGA-PBE)
No peak broadening, texture or thermal motion is included.

```
NdHo5Hg2
1.0
-1.8652 5.0734 6.1947
1.8652 -5.0734 6.1947
1.8652 5.0734 -6.1947
Nd Ho Hg
1 5 2
Cartesian
0.0000 0.0000 0.0000
1.8652 2.8017 -1.6975
1.8652 2.8017 1.6975
0.0000 5.0734 0.0000
0.0000 2.2717 4.4973
0.0000 2.2717 7.8922
1.8652 0.0000 2.9749
0.0000 5.0734 3.2198
```

Main lines, in order of rising 2θ (2θ = 15–90°):
- 2θ = 30.6°, d 2.921, I = 74
- 2θ = 32.3°, d 2.768, I = 60
- 2θ = 33.9°, d 2.644, I = 100
- 2θ = 35.4°, d 2.537, I = 41
- 2θ = 35.8°, d 2.506, I = 28
- 2θ = 38.8°, d 2.321, I = 37
- 2θ = 48.7°, d 1.870, I = 30
- 2θ = 60.8°, d 1.524, I = 64

=====

Repeat the twelfth record exactly.
Calculated PXRD pattern
Compound: Ho12Ni6Hg
Radiation: CuKα
Structure: DFT lattice parameters and positions (GGA-PBE)
No peak broadening, texture or thermal motion is included.

```
Ho12Ni6Hg
1.0
-4.8091 4.8091 4.8091
4.8091 -4.8091 4.8091
4.8091 4.8091 -4.8091
Ho Ni Hg
12 6 1
Cartesian
4.8091 3.0147 -1.9080
2.9010 0.0000 1.7944
6.7171 0.0000 1.7944
1.7944 2.9010 0.0000
3.0147 -1.9080 4.8091
0.0000 1.7944 2.9010
4.8091 3.0147 1.9080
1.7944 6.7171 0.0000
3.0147 1.9080 4.8091
-1.9080 4.8091 3.0147
1.9080 4.8091 3.0147
0.0000 1.7944 6.7171
4.8091 1.1943 0.0000
4.8091 0.0000 3.6148
3.6148 4.8091 0.0000
1.1943 0.0000 4.8091
0.0000 4.8091 1.1943
0.0000 3.6148 4.8091
0.0000 0.0000 0.0000
```

Main lines, in order of rising 2θ (2θ = 15–90°):
- 2θ = 29.4°, d 3.042, I = 42
- 2θ = 32.2°, d 2.777, I = 42
- 2θ = 34.9°, d 2.571, I = 100
- 2θ = 37.4°, d 2.405, I = 17
- 2θ = 48.2°, d 1.886, I = 20
- 2θ = 55.7°, d 1.649, I = 33
- 2θ = 59.2°, d 1.560, I = 36
- 2θ = 69.1°, d 1.360, I = 19